Structure and simulated X-ray diffraction stick pattern of As2S3 (a crystal structure in the Materials Project, relaxed with PBE; Cu Ka).

Crystal structure
Cell lengths 4.601, 11.007, 12.260 Å; angles 90.00, 111.74, 90.00 degrees
Space group P2_1/c (No. 14)
Inequivalent atoms, fractional coordinates:
As 0.075 0.190 0.230 (multiplicity 4)
As 0.364 0.182 0.520 (multiplicity 4)
S 0.057 0.725 0.622 (multiplicity 4)
S 0.157 0.127 0.658 (multiplicity 4)
S 0.406 0.637 0.406 (multiplicity 4)

Most intense lines, 10° ≤ 2θ ≤ 90°, low angle first:
16.1 deg, I = 100
17.5 deg, I = 18
20.8 deg, I = 24
22.3 deg, I = 34
25.2 deg, I = 24
26.4 deg, I = 14
30.4 deg, I = 29
31.7 deg, I = 45
34.6 deg, I = 15
38.1 deg, I = 18
40.5 deg, I = 11
45.7 deg, I = 12